This entry pairs a crystal structure of KNp2F11 with its calculated powder XRD pattern. Radiation: Cu Kα X-rays. Structure: a DFT-relaxed cell (GGA-PBE, Alexandria).
Neutral-atom scattering factors, no anomalous dispersion.

Largest 12 diffraction maxima, by angle, 10 to 90 degrees two-theta:
d/Å  Rel. int.  (hkl)
5.870  99.3  0 0 2
4.494  37.3  1 1 2
4.188  100.0  1 2 1
4.082  99.9  2 1 1
3.834  22.5  0 2 2
3.726  17.5  2 0 2
2.948  27.0  1 2 3
2.910  28.0  2 1 3
2.327  27.2  3 3 0
2.164  41.5  3 3 2
2.078  25.3  1 4 3
1.824  19.7  3 3 4

Atomic structure:
```
data_KNp2F11
_cell_length_a 9.643
_cell_length_b 10.128
_cell_length_c 11.741
_cell_angle_alpha 90.00
_cell_angle_beta 90.00
_cell_angle_gamma 90.00
_symmetry_space_group_name_H-M 'I b a m'
_symmetry_Int_Tables_number 72
_symmetry_space_group_name_Hall '-I 2 2c'
loop_
_atom_site_label
_atom_site_fract_x
_atom_site_fract_y
_atom_site_fract_z
_atom_site_occupancy
K1 0.000 0.000 0.250 1
Np1 0.159 0.337 0.000 1
F1 0.000 0.500 0.000 1
F2 0.062 0.230 0.125 1
F3 0.188 0.303 0.500 1
F4 0.233 0.063 0.376 1
```

This entry pairs a crystal structure of KNp2F7 with its calculated powder XRD pattern. Radiation: Cu Kα X-rays. Structure: a DFT-relaxed cell (GGA-PBE, Alexandria).
Neutral-atom scattering factors, no anomalous dispersion.

Largest 12 diffraction maxima, by angle, 10 to 90 degrees two-theta:
d/Å  Rel. int.  (hkl)
5.829  84.8  0 0 6
3.886  50.6  0 0 9
3.608  100.0  1 0 1
3.551  81.2  0 1 2
3.220  35.0  0 1 5
2.935  52.0  1 0 7
2.791  47.6  0 1 8
2.094  62.7  1 1 0
2.058  46.0  0 1 14
1.971  32.9  1 1 6
1.843  39.3  1 1 9
1.558  30.0  1 1 15

Atomic structure:
```
data_KNp2F7
_cell_length_a 4.1879
_cell_length_b 4.1879
_cell_length_c 34.9762
_cell_angle_alpha 90.00
_cell_angle_beta 90.00
_cell_angle_gamma 120.00
_symmetry_space_group_name_H-M 'R -3 m'
_symmetry_Int_Tables_number 166
_symmetry_space_group_name_Hall '-R 3 2"'
loop_
_atom_site_label
_atom_site_fract_x
_atom_site_fract_y
_atom_site_fract_z
_atom_site_occupancy
K1 0.0000 0.0000 0.0000 1
Np1 0.0000 0.0000 0.4341 1
F1 0.0000 0.0000 0.0853 1
F2 0.0000 0.0000 0.2198 1
F3 0.0000 0.0000 0.3697 1
F4 0.0000 0.0000 0.5000 1
```

This entry pairs a crystal structure of K3NpO2F5 with its calculated powder XRD pattern. Radiation: Cu Kα X-rays. Structure: a DFT-relaxed cell (GGA-PBE, Alexandria).
Neutral-atom scattering factors, no anomalous dispersion.

Largest 12 diffraction maxima, by angle, 10 to 90 degrees two-theta:
d/Å  Rel. int.  (hkl)
5.334  100.0  1 1 2
4.634  46.1  2 0 0
4.590  11.9  0 0 4
3.277  34.2  2 2 0
3.261  59.4  2 0 4
2.792  29.8  3 1 2
2.317  22.0  4 0 0
2.107  11.0  3 2 5
2.071  19.0  4 2 0
1.889  28.1  4 2 4
1.783  13.2  5 1 2
1.465  11.2  6 2 0

Atomic structure:
```
data_K3NpO2F5
_cell_length_a 9.269
_cell_length_b 9.269
_cell_length_c 18.360
_cell_angle_alpha 90.00
_cell_angle_beta 90.00
_cell_angle_gamma 90.00
_symmetry_space_group_name_H-M 'I 41/a'
_symmetry_Int_Tables_number 88
loop_
_symmetry_equiv_pos_as_xyz
'x,y,z'
'-x,-y,-z'
'-y+3/4,x+1/4,z+1/4'
'y+3/4,-x+1/4,-z+1/4'
'-x+1/2,-y,z+1/2'
'x+1/2,y,-z+1/2'
'y+3/4,-x+3/4,z+3/4'
'-y+3/4,x+3/4,-z+3/4'
'x+1/2,y+1/2,z+1/2'
'-x+1/2,-y+1/2,-z+1/2'
'-y+1/4,x+3/4,z+3/4'
'y+1/4,-x+3/4,-z+3/4'
'-x,-y+1/2,z'
'x,y+1/2,-z'
'y+1/4,-x+1/4,z+1/4'
'-y+1/4,x+1/4,-z+1/4'
loop_
_atom_site_label
_atom_site_fract_x
_atom_site_fract_y
_atom_site_fract_z
_atom_site_occupancy
K1 0.000 0.250 0.125 1
K2 0.000 0.250 0.625 1
K3 0.211 0.485 0.488 1
Np1 0.000 0.250 0.354 1
O1 0.041 0.057 0.897 1
F1 0.000 0.250 0.480 1
F2 0.020 0.107 0.256 1
F3 0.047 0.021 0.395 1
```

This entry pairs a crystal structure of K2RbNpF8 with its calculated powder XRD pattern. Radiation: Cu Kα X-rays. Structure: a DFT-relaxed cell (GGA-PBE, Alexandria).
Neutral-atom scattering factors, no anomalous dispersion.

Largest 12 diffraction maxima, by angle, 10 to 90 degrees two-theta:
d/Å  Rel. int.  (hkl)
6.086  18.9  0 0 2
5.408  84.7  1 0 1
3.495  100.0  1 1 2
3.367  17.7  1 0 3
3.019  13.7  2 0 0
2.636  16.8  2 1 1
2.248  16.4  2 1 3
2.143  42.6  2 0 4
2.134  21.1  2 2 0
1.832  15.2  1 1 6
1.822  29.8  3 1 2
1.390  13.4  3 1 6

Atomic structure:
```
data_K2RbNpF8
_cell_length_a 6.037
_cell_length_b 6.037
_cell_length_c 12.171
_cell_angle_alpha 90.00
_cell_angle_beta 90.00
_cell_angle_gamma 90.00
_symmetry_space_group_name_H-M 'I -4 m 2'
_symmetry_Int_Tables_number 119
_symmetry_space_group_name_Hall 'I -4 -2'
loop_
_atom_site_label
_atom_site_fract_x
_atom_site_fract_y
_atom_site_fract_z
_atom_site_occupancy
K1 0.000 0.000 0.000 1
K2 0.000 0.500 0.250 1
Rb1 0.000 0.000 0.500 1
Np1 0.000 0.500 0.750 1
F1 0.209 0.286 0.855 1
```